Structure and theoretical X-ray diffraction stick pattern of K2Na2NbW3O12 (DFT lattice parameters and positions (GGA+U); Cu Kα).
No peak broadening, texture or thermal motion is included.

Peak list (6 most intense, 10 to 80 degrees two-theta, in order of rising 2θ)
22.15 deg, 4.014 Å, I 82, hkl 0 2 0
22.27 deg, 3.991 Å, I 40, hkl 1 0 0
31.56 deg, 2.835 Å, I 100, hkl 1 2 0
31.63 deg, 2.829 Å, I 50, hkl 1 0 2
45.18 deg, 2.007 Å, I 34, hkl 0 4 0
56.19 deg, 1.637 Å, I 40, hkl 1 4 2

Structure:
```
data_K2Na2NbW3O12
_chemical_formula_sum 'K2 Na2 Nb1 W3 O12'
_cell_length_a 3.991
_cell_length_b 8.033
_cell_length_c 8.021
_cell_angle_alpha 90.00
_cell_angle_beta 90.00
_cell_angle_gamma 90.00
_symmetry_space_group_name_H-M 'P 1'
_symmetry_Int_Tables_number 1
loop_
_symmetry_equiv_pos_as_xyz
'x,y,z'
loop_
_atom_site_label
_atom_site_fract_x
_atom_site_fract_y
_atom_site_fract_z
K1 0.000 0.249 0.000
K2 0.000 0.751 0.000
Na1 0.000 0.243 0.508
Na2 0.000 0.757 0.508
Nb1 0.500 0.000 0.750
W1 0.500 0.000 0.254
W2 0.500 0.500 0.253
W3 0.500 0.500 0.748
O1 0.000 0.000 0.256
O2 0.000 0.000 0.746
O3 0.000 0.500 0.255
O4 0.000 0.500 0.746
O5 0.500 0.000 0.003
O6 0.500 0.000 0.501
O7 0.500 0.241 0.257
O8 0.500 0.251 0.746
O9 0.500 0.500 0.507
O10 0.500 0.500 0.992
O11 0.500 0.749 0.746
O12 0.500 0.759 0.257
```